Entry 1:
Simulated powder XRD pattern of CuNiAs6 for CuKα, from the PBE geometry in Alexandria.
Neutral-atom scattering factors, no anomalous dispersion.

Most intense lines, 10 to 90 degrees two-theta, by intensity:
(4 0 -1), 33.21 deg, d = 2.697 Å, I 100; (1 3 0), 33.29 deg, d = 2.691 Å, I 66; (6 0 -4), 47.79 deg, d = 1.903 Å, I 39; (2 0 1), 33.06 deg, d = 2.710 Å, I 31; (1 1 -1), 14.70 deg, d = 6.025 Å, I 27; (4 2 0), 47.65 deg, d = 1.908 Å, I 26; (2 4 -3), 54.84 deg, d = 1.674 Å, I 25; (7 1 -4), 55.06 deg, d = 1.668 Å, I 24; (3 3 -1), 39.64 deg, d = 2.274 Å, I 23; (6 2 -4), 52.72 deg, d = 1.736 Å, I 21; (2 2 -3), 39.47 deg, d = 2.283 Å, I 16; (2 0 2), 47.40 deg, d = 1.918 Å, I 14

Crystal structure
Unit cell a=12.018 b=8.507 c=8.541 alpha=90.00 beta=134.70 gamma=90.00
Space group C2/m (No. 12)
Symmetry-distinct sites (fractional):
Cu 0.250 0.250 0.000
Ni 0.250 0.250 0.500
As 0.006 0.149 0.154
As 0.147 0.500 0.791
As 0.148 0.149 0.642
As 0.149 0.500 0.496



Entry 2:
Simulated powder XRD pattern of Sr2CuNi3As4 for CuKα, from the PBE geometry in Alexandria.
Neutral-atom scattering factors, no anomalous dispersion.

Most intense lines, 10 to 90 degrees two-theta, by intensity:
(1 1 2), 34.86 deg, d = 2.574 Å, I 100; (2 0 0), 42.20 deg, d = 2.141 Å, I 75; (1 0 3), 34.61 deg, d = 2.592 Å, I 65; (2 1 3), 55.68 deg, d = 1.651 Å, I 32; (1 1 4), 47.85 deg, d = 1.901 Å, I 28; (2 2 0), 61.21 deg, d = 1.514 Å, I 24; (3 1 2), 72.41 deg, d = 1.305 Å, I 22; (1 0 5), 51.41 deg, d = 1.777 Å, I 21; (2 1 5), 68.62 deg, d = 1.368 Å, I 17; (1 1 6), 65.05 deg, d = 1.434 Å, I 15; (3 1 4), 81.22 deg, d = 1.184 Å, I 11; (1 1 0), 29.49 deg, d = 3.028 Å, I 11

Crystal structure
Unit cell a=4.283 b=4.283 c=9.768 alpha=90.00 beta=90.00 gamma=90.00
Space group P-4m2 (No. 115)
Symmetry-distinct sites (fractional):
Sr 0.000 0.500 0.249
Cu 0.500 0.500 0.000
Ni 0.000 0.000 0.000
Ni 0.000 0.500 0.617
As 0.000 0.000 0.500
As 0.000 0.500 0.867
As 0.500 0.500 0.500



Entry 3:
Simulated powder XRD pattern of NpCuAs3 for CuKα, from the PBE geometry in Alexandria.
Neutral-atom scattering factors, no anomalous dispersion.

Most intense lines, 10 to 90 degrees two-theta, by intensity:
(5 0 0), 37.77 deg, d = 2.382 Å, I 100; (1 1 1), 23.56 deg, d = 3.777 Å, I 68; (2 2 0), 35.09 deg, d = 2.557 Å, I 59; (0 2 2), 45.55 deg, d = 1.991 Å, I 49; (2 0 2), 35.44 deg, d = 2.533 Å, I 48; (3 0 2), 39.39 deg, d = 2.288 Å, I 34; (3 2 0), 39.08 deg, d = 2.305 Å, I 31; (5 2 2), 60.64 deg, d = 1.527 Å, I 26; (2 1 1), 26.94 deg, d = 3.309 Å, I 25; (0 0 2), 31.96 deg, d = 2.800 Å, I 18; (4 1 3), 60.82 deg, d = 1.523 Å, I 17; (7 1 1), 59.09 deg, d = 1.563 Å, I 17

Crystal structure
Unit cell a=11.898 b=5.664 c=5.601 alpha=90.00 beta=90.00 gamma=90.00
Space group Pbcm (No. 57)
Symmetry-distinct sites (fractional):
Np 0.191 0.007 0.250
Cu 0.406 0.750 0.000
As 0.002 0.750 0.000
As 0.253 0.507 0.250
As 0.429 0.121 0.250



Entry 4:
Simulated powder XRD pattern of CuAs2O4 for CuKα, from the PBE geometry in Alexandria.
Neutral-atom scattering factors, no anomalous dispersion.

Most intense lines, 10 to 90 degrees two-theta, by intensity:
(2 1 1), 27.30 deg, d = 3.266 Å, I 100; (1 1 0), 13.99 deg, d = 6.332 Å, I 65; (2 2 0), 28.19 deg, d = 3.166 Å, I 52; (2 0 2), 37.67 deg, d = 2.388 Å, I 36; (3 1 0), 31.60 deg, d = 2.832 Å, I 36; (4 1 1), 44.71 deg, d = 2.027 Å, I 34; (3 3 2), 54.27 deg, d = 1.690 Å, I 25; (5 1 2), 62.25 deg, d = 1.491 Å, I 21; (2 1 2), 39.04 deg, d = 2.307 Å, I 20; (2 1 0), 22.20 deg, d = 4.005 Å, I 15; (2 0 0), 19.83 deg, d = 4.477 Å, I 15; (2 1 3), 53.82 deg, d = 1.703 Å, I 15

Crystal structure
Unit cell a=8.955 b=8.955 c=5.646 alpha=90.00 beta=90.00 gamma=90.00
Space group P4_2/mbc (No. 135)
Symmetry-distinct sites (fractional):
Cu 0.000 0.500 0.250
As 0.156 0.209 0.000
O 0.092 0.380 0.500
O 0.210 0.710 0.250